This entry pairs a crystal structure of La2TbNdTm4 with its simulated powder diffractogram. Radiation: a wavelength of 1.5418 Å. Structure: a crystal structure in Alexandria, relaxed with PBE.
Lines closer than 0.1° are merged.

Peak list (10 most intense, 2θ from 10° to 90°, in order of rising 2θ)
30.53°, intensity 100; 30.84°, intensity 32; 35.49°, intensity 67; 50.86°, intensity 24; 51.27°, intensity 24; 60.49°, intensity 14; 60.67°, intensity 28; 61.03°, intensity 14; 63.55°, intensity 12; 82.89°, intensity 12

Crystal structure
a = 7.1805 Å, b = 7.1805 Å, c = 12.3163 Å
α = 106.95°, β = 106.95°, γ = 60.02°
Positions (direct):
La 0.0000 0.0000 0.0000
La 0.0000 0.0000 0.5000
La 0.0000 0.5000 0.0000
La 0.5000 0.0000 0.0000
Tb 0.0000 0.5000 0.5000
Tb 0.5000 0.0000 0.5000
Nd 0.5000 0.5000 0.0000
Nd 0.5000 0.5000 0.5000
Tm 0.2499 0.2499 0.7476
Tm 0.2496 0.7484 0.7475
Tm 0.2507 0.2507 0.2528
Tm 0.2516 0.7504 0.2525
Tm 0.7484 0.2496 0.7475
Tm 0.7493 0.7493 0.7472
Tm 0.7504 0.2516 0.2525
Tm 0.7501 0.7501 0.2524

This entry pairs a crystal structure of CuAg7Au3 with its simulated powder diffractogram. Radiation: a wavelength of 1.5418 Å. Structure: a crystal structure in Alexandria, relaxed with PBE.
Lines closer than 0.1° are merged.

Peak list (10 most intense, 2θ from 10° to 90°, in order of rising 2θ)
21.76°, intensity 18; 38.07°, intensity 100; 38.47°, intensity 32; 44.37°, intensity 64; 64.27°, intensity 20; 64.82°, intensity 20; 77.22°, intensity 12; 77.47°, intensity 24; 77.97°, intensity 12; 81.44°, intensity 11

Crystal structure
a = 5.7969 Å, b = 5.7969 Å, c = 7.0200 Å
α = 90.00°, β = 90.00°, γ = 120.00°
Positions (direct):
Cu 0.0000 0.0000 0.0000
Ag 0.3324 0.1662 0.3415
Ag 0.3333 0.6667 0.3499
Ag 0.5020 0.0039 0.0094
Ag 0.5020 0.4980 0.0094
Ag 0.8338 0.1662 0.3415
Ag 0.8338 0.6676 0.3415
Ag 0.9961 0.4980 0.0094
Au 0.1648 0.3296 0.6831
Au 0.1648 0.8352 0.6831
Au 0.6704 0.8352 0.6831

This entry pairs a crystal structure of As2S3 with its simulated powder diffractogram. Radiation: a wavelength of 1.5418 Å. Structure: a crystal structure in Alexandria, relaxed with PBE.
Lines closer than 0.1° are merged.

Peak list (10 most intense, 2θ from 10° to 90°, in order of rising 2θ)
11.37°, intensity 100; 15.77°, intensity 74; 28.27°, intensity 37; 32.63°, intensity 100; 37.33°, intensity 16; 37.78°, intensity 23; 48.17°, intensity 28; 48.63°, intensity 19; 50.99°, intensity 21; 53.26°, intensity 20

Crystal structure
a = 3.5832 Å, b = 8.0383 Å, c = 9.2431 Å
α = 96.56°, β = 90.01°, γ = 102.85°
Positions (direct):
As 0.1298 0.2590 0.4350
As 0.2947 0.5896 0.8705
As 0.7053 0.4104 0.1295
As 0.8702 0.7410 0.5650
S 0.1573 0.3141 0.9402
S 0.2554 0.5109 0.3280
S 0.4427 0.8864 0.6971
S 0.5573 0.1136 0.3029
S 0.7446 0.4891 0.6720
S 0.8427 0.6859 0.0598

This entry pairs a crystal structure of KRb5Hg6 with its simulated powder diffractogram. Radiation: a wavelength of 1.5418 Å. Structure: a crystal structure in Alexandria, relaxed with PBE.
Lines closer than 0.1° are merged.

Peak list (10 most intense, 2θ from 10° to 90°, in order of rising 2θ)
11.69°, intensity 21; 19.34°, intensity 86; 25.25°, intensity 21; 27.00°, intensity 91; 27.95°, intensity 74; 28.88°, intensity 93; 29.37°, intensity 100; 32.95°, intensity 27; 39.25°, intensity 60; 49.51°, intensity 24

Crystal structure
a = 10.9075 Å, b = 10.9075 Å, c = 6.6057 Å
α = 107.09°, β = 107.09°, γ = 122.82°
Positions (direct):
K 0.0000 0.0000 0.0000
Rb 0.1868 0.8132 0.5000
Rb 0.3504 0.6496 0.0000
Rb 0.5000 0.5000 0.5000
Rb 0.6496 0.3504 0.0000
Rb 0.8132 0.1868 0.5000
Hg 0.0314 0.3571 0.1893
Hg 0.1844 0.1844 0.6790
Hg 0.3571 0.0314 0.1893
Hg 0.6429 0.9686 0.8107
Hg 0.8156 0.8156 0.3210
Hg 0.9686 0.6429 0.8107

This entry pairs a crystal structure of Nd3ScTl4 with its simulated powder diffractogram. Radiation: a wavelength of 1.5418 Å. Structure: a crystal structure in Alexandria, relaxed with PBE.
Lines closer than 0.1° are merged.

Peak list (10 most intense, 2θ from 10° to 90°, in order of rising 2θ)
15.70°, intensity 17; 28.47°, intensity 14; 31.70°, intensity 100; 32.00°, intensity 96; 33.53°, intensity 48; 38.55°, intensity 51; 52.00°, intensity 39; 58.80°, intensity 15; 58.98°, intensity 14; 65.30°, intensity 13

Crystal structure
a = 10.6919 Å, b = 6.5638 Å, c = 6.6485 Å
α = 90.00°, β = 90.00°, γ = 90.00°
Positions (direct):
Nd 0.0000 0.0840 0.0000
Nd 0.2305 0.7283 0.1980
Nd 0.2695 0.2717 0.6980
Nd 0.5000 0.9160 0.5000
Nd 0.7305 0.2717 0.6980
Nd 0.7695 0.7283 0.1980
Sc 0.0000 0.5657 0.8584
Sc 0.5000 0.4343 0.3584
Tl 0.0000 0.4734 0.4049
Tl 0.0000 0.9978 0.4920
Tl 0.2347 0.7696 0.7013
Tl 0.2653 0.2304 0.2013
Tl 0.5000 0.0022 0.9920
Tl 0.5000 0.5266 0.9049
Tl 0.7347 0.2304 0.2013
Tl 0.7653 0.7696 0.7013